K3Nb2Ag3S8: calculated XRD peak list (λ = 1.5418 Å (Cu Kα)), based on a structure optimized by DFT (PBE).

Most intense lines, 5° ≤ 2θ ≤ 70°, in order of rising 2θ:
Position (°2θ), I_rel
12.31, 29
14.18, 100
15.38, 35
16.37, 25
25.42, 26
29.60, 15
31.04, 18
33.24, 29
34.31, 19
41.86, 40
42.55, 22
50.57, 16

Structural model:
```
K3Nb2Ag3S8
1.0
12.512 -2.989 0.000
12.512 2.989 0.000
-7.229 0.000 12.488
K Nb Ag S
6 4 6 16
direct
0.000 0.000 0.000
0.000 0.000 0.500
0.246 0.362 0.899
0.362 0.246 0.399
0.638 0.754 0.601
0.754 0.638 0.101
0.156 0.588 0.221
0.412 0.844 0.279
0.588 0.156 0.721
0.844 0.412 0.779
0.089 0.657 0.715
0.283 0.717 0.250
0.343 0.911 0.785
0.657 0.089 0.215
0.717 0.283 0.750
0.911 0.343 0.285
0.024 0.174 0.884
0.099 0.217 0.684
0.174 0.024 0.384
0.217 0.099 0.184
0.288 0.289 0.108
0.289 0.288 0.608
0.453 0.455 0.847
0.455 0.453 0.347
0.545 0.547 0.653
0.547 0.545 0.153
0.711 0.712 0.392
0.712 0.711 0.892
0.783 0.901 0.816
0.826 0.976 0.616
0.901 0.783 0.316
0.976 0.826 0.116
```

KNpAgS3: calculated XRD peak list (λ = 1.5418 Å (Cu Kα)), based on a structure optimized by DFT (PBE).

Most intense lines, 5° ≤ 2θ ≤ 70°, in order of rising 2θ:
Position (°2θ), I_rel
12.52, 100
21.19, 15
25.20, 13
28.43, 45
28.88, 16
30.15, 16
33.71, 43
34.44, 20
36.78, 15
42.09, 11
42.55, 21
44.22, 11

Structural model:
```
KNpAgS3
1.0
2.048 -7.068 0.000
2.048 7.068 0.000
0.000 0.000 10.417
K Np Ag S
2 2 2 6
direct
0.239 0.761 0.750
0.761 0.239 0.250
0.500 0.500 0.000
0.500 0.500 0.500
0.047 0.953 0.250
0.953 0.047 0.750
0.124 0.876 0.037
0.124 0.876 0.463
0.438 0.562 0.250
0.562 0.438 0.750
0.876 0.124 0.537
0.876 0.124 0.963
```